Diffraction record for LiMnBe2O4. The XRD peak list is calculated, not measured: it uses a cell relaxed with GGA+U and Cu Kα X-rays.
Lines closer than 0.1° are merged.

Structural model:
abc: 3.7814 4.2552 8.8775
angles: 90.00 90.00 90.00
Space group I222 (No. 23)
One atom of each set of equivalent atoms:
Li: 0.0000 0.0000 0.0000 [2 per cell]
Mn: 0.0000 0.0000 0.5000 [2 per cell]
Be: 0.0000 0.5000 0.2515 [4 per cell]
O: 0.2391 0.2521 0.3530 [8 per cell]

The 12 most intense peaks (15° ≤ 2θ ≤ 90°), sorted by position:
- 20.0 deg, intensity 108
- 23.2 deg, intensity 506
- 25.6 deg, intensity 454
- 31.7 deg, intensity 208
- 37.0 deg, intensity 154
- 37.7 deg, intensity 1000
- 38.6 deg, intensity 108
- 47.4 deg, intensity 117
- 52.4 deg, intensity 132
- 60.3 deg, intensity 179
- 64.8 deg, intensity 137
- 66.1 deg, intensity 145